The following is a simulated powder diffraction line list of V4Cu3O10. It was derived from a structure optimized by DFT (PBE+U), using λ = 1.5418 Å (Cu Kα).
Lines closer than 0.1° are merged.

Main lines, in order of rising 2θ (2θ = 10–80°):
2θ 21.73, rel. 78.2
2θ 23.87, rel. 100.0
2θ 32.70, rel. 69.6
2θ 32.82, rel. 94.4
2θ 33.75, rel. 56.3
2θ 46.27, rel. 65.0

Cell and atoms:
Cell lengths 6.261, 6.261, 8.819 Å; angles 110.50, 110.50, 39.09 degrees
Fractional coordinates of all 17 atoms:
V1 0.000 0.000 0.000
V2 0.244 0.244 0.304
V3 0.305 0.305 0.978
V4 0.550 0.550 0.282
Cu1 0.276 0.776 0.642
Cu2 0.776 0.276 0.642
Cu3 0.776 0.776 0.640
O1 0.064 0.064 0.255
O2 0.163 0.163 0.039
O3 0.235 0.235 0.771
O4 0.315 0.315 0.511
O5 0.387 0.387 0.243
O6 0.486 0.486 0.026
O7 0.600 0.600 0.527
O8 0.710 0.710 0.293
O9 0.840 0.840 0.989
O10 0.952 0.952 0.755


The following is a simulated powder diffraction line list of MgCr2Sb4O12. It was derived from a structure optimized by DFT (PBE+U), using λ = 1.5418 Å (Cu Kα).
Lines closer than 0.1° are merged.

Main lines, in order of rising 2θ (2θ = 10–80°):
2θ 20.24, rel. 33.6
2θ 26.20, rel. 100.0
2θ 31.22, rel. 55.8
2θ 37.39, rel. 25.3
2θ 49.49, rel. 45.1
2θ 54.77, rel. 25.2

Cell and atoms:
Cell lengths 4.810, 4.810, 10.698 Å; angles 90.00, 90.00, 90.00 degrees
Fractional coordinates of all 19 atoms:
Mg1 0.000 0.000 0.000
Cr1 0.000 0.500 0.733
Cr2 0.500 0.000 0.267
Sb1 0.000 0.500 0.142
Sb2 0.000 0.500 0.433
Sb3 0.500 0.000 0.567
Sb4 0.500 0.000 0.858
O1 0.155 0.270 0.866
O2 0.190 0.300 0.573
O3 0.208 0.324 0.289
O4 0.270 0.845 0.134
O5 0.300 0.810 0.427
O6 0.324 0.792 0.711
O7 0.676 0.208 0.711
O8 0.700 0.190 0.427
O9 0.730 0.155 0.134
O10 0.792 0.676 0.289
O11 0.810 0.700 0.573
O12 0.845 0.730 0.866


The following is a simulated powder diffraction line list of Li4Nb3V2Co3O16. It was derived from a structure optimized by DFT (PBE+U), using λ = 1.5418 Å (Cu Kα).
Lines closer than 0.1° are merged.

Main lines, in order of rising 2θ (2θ = 10–80°):
2θ 18.08, rel. 100.0
2θ 19.16, rel. 77.5
2θ 19.31, rel. 40.5
2θ 32.26, rel. 33.2
2θ 35.37, rel. 54.8
2θ 44.22, rel. 48.5

Cell and atoms:
Cell lengths 6.026, 6.026, 9.811 Å; angles 90.11, 90.11, 60.68 degrees
Fractional coordinates of all 28 atoms:
Li1 0.000 0.000 0.000
Li2 0.029 0.029 0.514
Li3 0.358 0.358 0.416
Li4 0.689 0.689 0.907
Nb1 0.211 0.211 0.749
Nb2 0.376 0.863 0.229
Nb3 0.863 0.376 0.229
V1 0.379 0.379 0.002
V2 0.705 0.705 0.521
Co1 0.221 0.679 0.726
Co2 0.679 0.221 0.726
Co3 0.839 0.839 0.233
O1 0.032 0.032 0.328
O2 0.032 0.032 0.810
O3 0.059 0.504 0.863
O4 0.203 0.203 0.123
O5 0.213 0.698 0.117
O6 0.352 0.352 0.615
O7 0.393 0.852 0.605
O8 0.504 0.059 0.863
O9 0.511 0.511 0.860
O10 0.540 0.973 0.373
O11 0.544 0.544 0.350
O12 0.681 0.681 0.107
O13 0.698 0.213 0.117
O14 0.852 0.393 0.605
O15 0.854 0.854 0.603
O16 0.973 0.540 0.373


The following is a simulated powder diffraction line list of Li4Mn2V3Cr3O16. It was derived from a structure optimized by DFT (PBE+U), using λ = 1.5418 Å (Cu Kα).
Lines closer than 0.1° are merged.

Main lines, in order of rising 2θ (2θ = 10–80°):
2θ 18.43, rel. 100.0
2θ 19.40, rel. 87.9
2θ 19.83, rel. 51.3
2θ 35.06, rel. 45.2
2θ 36.51, rel. 54.2
2θ 63.30, rel. 43.1

Cell and atoms:
Cell lengths 5.883, 5.883, 9.642 Å; angles 92.46, 92.46, 60.61 degrees
Fractional coordinates of all 28 atoms:
Li1 0.000 0.000 0.000
Li2 0.005 0.005 0.500
Li3 0.329 0.329 0.099
Li4 0.659 0.659 0.600
Mn1 0.327 0.327 0.506
Mn2 0.659 0.659 0.008
V1 0.157 0.656 0.780
V2 0.656 0.157 0.780
V3 0.828 0.828 0.286
Cr1 0.164 0.164 0.783
Cr2 0.336 0.827 0.279
Cr3 0.827 0.336 0.279
O1 0.029 0.480 0.661
O2 0.144 0.679 0.388
O3 0.161 0.161 0.397
O4 0.323 0.825 0.892
O5 0.336 0.336 0.892
O6 0.471 0.471 0.651
O7 0.480 0.029 0.661
O8 0.509 0.509 0.162
O9 0.523 0.953 0.158
O10 0.676 0.676 0.390
O11 0.679 0.144 0.388
O12 0.825 0.323 0.892
O13 0.838 0.838 0.889
O14 0.953 0.523 0.158
O15 0.986 0.986 0.184
O16 0.989 0.989 0.684


The following is a simulated powder diffraction line list of YWO2. It was derived from a structure optimized by DFT (PBE+U), using λ = 1.5418 Å (Cu Kα).
Lines closer than 0.1° are merged.

Main lines, in order of rising 2θ (2θ = 10–80°):
2θ 29.75, rel. 39.6
2θ 31.97, rel. 100.0
2θ 40.32, rel. 40.5
2θ 50.90, rel. 35.0
2θ 54.22, rel. 29.8
2θ 68.08, rel. 24.2

Cell and atoms:
Cell lengths 7.489, 7.489, 7.489 Å; angles 130.02, 130.02, 73.37 degrees
Fractional coordinates of all 16 atoms:
Y1 0.000 0.000 0.000
Y2 0.000 0.000 0.500
Y3 0.000 0.500 0.000
Y4 0.500 0.000 0.500
W1 0.000 0.500 0.500
W2 0.500 0.000 0.000
W3 0.500 0.500 0.000
W4 0.500 0.500 0.500
O1 0.198 0.219 0.521
O2 0.198 0.676 0.979
O3 0.219 0.198 0.021
O4 0.324 0.802 0.521
O5 0.676 0.198 0.479
O6 0.781 0.802 0.979
O7 0.802 0.324 0.021
O8 0.802 0.781 0.479


The following is a simulated powder diffraction line list of Fe4O3F5. It was derived from a structure optimized by DFT (PBE+U), using λ = 1.5418 Å (Cu Kα).
Lines closer than 0.1° are merged.

Main lines, in order of rising 2θ (2θ = 10–80°):
2θ 25.23, rel. 96.8
2θ 27.50, rel. 86.3
2θ 34.46, rel. 100.0
2θ 50.67, rel. 65.4
2θ 53.23, rel. 49.2
2θ 65.93, rel. 39.1

Cell and atoms:
Cell lengths 5.711, 5.711, 5.711 Å; angles 114.15, 103.65, 110.79 degrees
Fractional coordinates of all 12 atoms:
Fe1 0.000 0.000 0.000
Fe2 0.502 0.262 0.760
Fe3 0.502 0.742 0.240
Fe4 0.967 0.467 0.500
O1 0.296 0.296 0.000
O2 0.669 0.169 0.500
O3 0.701 0.701 0.000
F1 0.195 0.236 0.442
F2 0.195 0.754 0.959
F3 0.284 0.784 0.500
F4 0.795 0.236 0.041
F5 0.795 0.754 0.558